(1)
Diffraction record for ReH12C4O5F. The PXRD pattern is simulated, not measured: it uses a PBE-relaxed structure and Cu Kα X-rays.
Intensities are scaled so that the largest is 100.

Cell and atoms:
```
data_ReH12C4O5F
_cell_length_a 5.963
_cell_length_b 6.409
_cell_length_c 11.831
_cell_angle_alpha 77.63
_cell_angle_beta 81.86
_cell_angle_gamma 64.10
_symmetry_space_group_name_H-M 'P -1'
_symmetry_Int_Tables_number 2
loop_
_symmetry_equiv_pos_as_xyz
'x,y,z'
'-x,-y,-z'
loop_
_atom_site_label
_atom_site_type_symbol
_atom_site_fract_x
_atom_site_fract_y
_atom_site_fract_z
Re1 Re 0.170 0.096 0.230
H1 H 0.089 0.355 0.845
H2 H 0.092 0.252 0.491
H3 H 0.105 0.131 0.968
H4 H 0.117 0.654 0.385
H5 H 0.212 0.252 0.623
H6 H 0.255 0.050 0.833
H7 H 0.330 0.640 0.635
H8 H 0.347 0.671 0.021
H9 H 0.356 0.468 0.154
H10 H 0.358 0.833 0.504
H11 H 0.478 0.830 0.636
H12 H 0.489 0.342 0.860
C1 C 0.069 0.226 0.586
C2 C 0.095 0.179 0.874
C3 C 0.331 0.812 0.599
C4 C 0.351 0.641 0.116
O1 O 0.090 0.990 0.628
O2 O 0.124 0.324 0.302
O3 O 0.128 0.820 0.160
O4 O 0.338 0.151 0.105
O5 O 0.397 0.850 0.310
F1 F 0.156 0.740 0.838
```

Principal peaks in the range 2θ = 10–90°, in order of rising 2θ:
- 5.769 Å, I 100.0, hkl 0 0 2
- 5.681 Å, I 86.2, hkl 0 1 0
- 5.356 Å, I 32.0, hkl 1 0 0
- 5.081 Å, I 54.4, hkl 1 1 1
- 4.963 Å, I 48.1, hkl 1 0 1
- 4.766 Å, I 65.1, hkl 1 0 -1
- 4.446 Å, I 35.1, hkl 0 1 2
- 4.355 Å, I 41.2, hkl 1 1 -1
- 4.037 Å, I 26.9, hkl 1 0 2
- 3.433 Å, I 27.0, hkl 1 1 3



(2)
Diffraction record for PmSiO3. The PXRD pattern is simulated, not measured: it uses a PBE-relaxed structure and Cu Kα X-rays.
Intensities are scaled so that the largest is 100.

Cell and atoms:
```
data_PmSiO3
_cell_length_a 5.278
_cell_length_b 5.278
_cell_length_c 3.720
_cell_angle_alpha 90.00
_cell_angle_beta 90.00
_cell_angle_gamma 90.00
_symmetry_space_group_name_H-M 'P 4/m b m'
_symmetry_Int_Tables_number 127
_symmetry_space_group_name_Hall '-P 4 2ab'
loop_
_atom_site_label
_atom_site_type_symbol
_atom_site_fract_x
_atom_site_fract_y
_atom_site_fract_z
Pm1 Pm 0.000 0.500 0.000
Si1 Si 0.000 0.000 0.500
O1 O 0.000 0.000 0.000
O2 O 0.249 0.251 0.500
```

Principal peaks in the range 2θ = 10–90°, in order of rising 2θ:
- 3.728 Å, I 47.9, hkl 1 1 0
- 2.636 Å, I 100.0, hkl 2 0 0
- 2.152 Å, I 40.7, hkl 2 0 1
- 1.866 Å, I 22.9, hkl 2 2 0
- 1.860 Å, I 11.3, hkl 0 0 2
- 1.668 Å, I 14.9, hkl 3 1 0
- 1.523 Å, I 25.8, hkl 3 1 1
- 1.520 Å, I 12.8, hkl 2 0 2
- 1.317 Å, I 13.5, hkl 2 2 2
- 1.180 Å, I 11.5, hkl 4 2 0



(3)
Diffraction record for Lu5Ni19B6. The PXRD pattern is simulated, not measured: it uses a PBE-relaxed structure and Cu Kα X-rays.
Intensities are scaled so that the largest is 100.

Cell and atoms:
```
data_Lu5Ni19B6
_cell_length_a 4.9293
_cell_length_b 4.9293
_cell_length_c 17.0409
_cell_angle_alpha 90.00
_cell_angle_beta 90.00
_cell_angle_gamma 120.00
_symmetry_space_group_name_H-M 'P 6/m m m'
_symmetry_Int_Tables_number 191
_symmetry_space_group_name_Hall '-P 6 2'
loop_
_atom_site_label
_atom_site_type_symbol
_atom_site_fract_x
_atom_site_fract_y
_atom_site_fract_z
Lu1 Lu 0.0000 0.0000 0.0000
Lu2 Lu 0.0000 0.0000 0.2010
Lu3 Lu 0.0000 0.0000 0.4034
Ni1 Ni 0.0000 0.5000 0.0848
Ni2 Ni 0.0000 0.5000 0.3221
Ni3 Ni 0.0000 0.5000 0.5000
Ni4 Ni 0.3333 0.6667 0.2036
B1 B 0.3333 0.6667 0.0000
B2 B 0.3333 0.6667 0.4088
```

Principal peaks in the range 2θ = 10–90°, in order of rising 2θ:
- 4.269 Å, I 22.9, hkl 1 0 0
- 2.663 Å, I 100.0, hkl 1 0 5
- 2.465 Å, I 29.4, hkl 1 1 0
- 2.134 Å, I 80.7, hkl 2 0 0
- 1.997 Å, I 94.5, hkl 1 1 5
- 1.458 Å, I 31.7, hkl 2 1 5
- 1.402 Å, I 14.5, hkl 1 1 10
- 1.332 Å, I 16.7, hkl 2 0 10
- 1.313 Å, I 22.5, hkl 3 0 5
- 1.232 Å, I 19.4, hkl 2 2 0



(4)
Diffraction record for LaGa2CuPt2. The PXRD pattern is simulated, not measured: it uses a PBE-relaxed structure and Cu Kα X-rays.
Intensities are scaled so that the largest is 100.

Cell and atoms:
```
data_LaGa2CuPt2
_cell_length_a 5.613
_cell_length_b 9.634
_cell_length_c 4.006
_cell_angle_alpha 90.00
_cell_angle_beta 90.00
_cell_angle_gamma 90.00
_symmetry_space_group_name_H-M 'C m m m'
_symmetry_Int_Tables_number 65
_symmetry_space_group_name_Hall '-C 2 2'
loop_
_atom_site_label
_atom_site_type_symbol
_atom_site_fract_x
_atom_site_fract_y
_atom_site_fract_z
La1 La 0.000 0.000 0.000
Ga1 Ga 0.000 0.335 0.000
Cu1 Cu 0.000 0.500 0.500
Pt1 Pt 0.250 0.250 0.500
```

Principal peaks in the range 2θ = 10–90°, in order of rising 2θ:
- 4.817 Å, I 50.3, hkl 0 2 0
- 3.082 Å, I 100.0, hkl 0 2 1
- 2.425 Å, I 78.8, hkl 2 2 0
- 2.409 Å, I 37.6, hkl 0 4 0
- 2.298 Å, I 90.0, hkl 2 0 1
- 2.288 Å, I 61.8, hkl 1 3 1
- 2.074 Å, I 55.9, hkl 2 2 1
- 2.003 Å, I 45.3, hkl 0 0 2
- 1.544 Å, I 39.3, hkl 2 2 2
- 1.144 Å, I 29.5, hkl 2 6 2



(5)
Diffraction record for NdSmAuS3. The PXRD pattern is simulated, not measured: it uses a PBE-relaxed structure and Cu Kα X-rays.
Intensities are scaled so that the largest is 100.

Cell and atoms:
```
data_NdSmAuS3
_cell_length_a 3.882
_cell_length_b 13.335
_cell_length_c 10.470
_cell_angle_alpha 90.00
_cell_angle_beta 90.00
_cell_angle_gamma 90.00
_symmetry_space_group_name_H-M 'C m c m'
_symmetry_Int_Tables_number 63
_symmetry_space_group_name_Hall '-C 2c 2'
loop_
_atom_site_label
_atom_site_type_symbol
_atom_site_fract_x
_atom_site_fract_y
_atom_site_fract_z
Nd1 Nd 0.000 0.000 0.000
Sm1 Sm 0.000 0.229 0.250
Au1 Au 0.000 0.479 0.750
S1 S 0.000 0.110 0.750
S2 S 0.000 0.348 0.571
```

Principal peaks in the range 2θ = 10–90°, in order of rising 2θ:
- 6.668 Å, I 34.1, hkl 0 2 0
- 5.235 Å, I 25.0, hkl 0 0 2
- 3.334 Å, I 29.6, hkl 0 4 0
- 3.036 Å, I 53.1, hkl 1 1 2
- 2.816 Å, I 45.8, hkl 1 3 1
- 2.617 Å, I 32.2, hkl 0 0 4
- 2.552 Å, I 100.0, hkl 1 3 2
- 2.241 Å, I 16.3, hkl 1 3 3
- 2.059 Å, I 22.2, hkl 0 4 4
- 1.941 Å, I 17.7, hkl 2 0 0



(6)
Diffraction record for La3Ge3Pd2. The PXRD pattern is simulated, not measured: it uses a PBE-relaxed structure and Cu Kα X-rays.
Intensities are scaled so that the largest is 100.

Cell and atoms:
```
data_La3Ge3Pd2
_cell_length_a 4.417
_cell_length_b 11.130
_cell_length_c 15.718
_cell_angle_alpha 90.00
_cell_angle_beta 90.00
_cell_angle_gamma 90.00
_symmetry_space_group_name_H-M 'C m c m'
_symmetry_Int_Tables_number 63
_symmetry_space_group_name_Hall '-C 2c 2'
loop_
_atom_site_label
_atom_site_type_symbol
_atom_site_fract_x
_atom_site_fract_y
_atom_site_fract_z
La1 La 0.000 0.095 0.250
La2 La 0.000 0.368 0.096
Ge1 Ge 0.000 0.089 0.048
Ge2 Ge 0.000 0.193 0.750
Pd1 Pd 0.000 0.341 0.618
```

Principal peaks in the range 2θ = 10–90°, in order of rising 2θ:
- 2.839 Å, I 100.0, hkl 1 1 4
- 2.796 Å, I 32.8, hkl 1 3 1
- 2.782 Å, I 34.5, hkl 0 4 0
- 2.620 Å, I 26.7, hkl 0 0 6
- 2.496 Å, I 14.3, hkl 1 1 5
- 2.302 Å, I 51.3, hkl 1 3 4
- 2.209 Å, I 36.8, hkl 2 0 0
- 2.108 Å, I 22.1, hkl 1 3 5
- 1.730 Å, I 16.7, hkl 2 4 0
- 1.468 Å, I 16.9, hkl 1 1 10



(7)
Diffraction record for Ba2TaMoP6. The PXRD pattern is simulated, not measured: it uses a PBE-relaxed structure and Cu Kα X-rays.
Intensities are scaled so that the largest is 100.

Cell and atoms:
```
data_Ba2TaMoP6
_cell_length_a 6.829
_cell_length_b 6.934
_cell_length_c 9.720
_cell_angle_alpha 90.28
_cell_angle_beta 90.08
_cell_angle_gamma 90.00
_symmetry_space_group_name_H-M 'P 1'
_symmetry_Int_Tables_number 1
loop_
_symmetry_equiv_pos_as_xyz
'x,y,z'
loop_
_atom_site_label
_atom_site_type_symbol
_atom_site_fract_x
_atom_site_fract_y
_atom_site_fract_z
Ba1 Ba 0.000 0.000 0.000
Ba2 Ba 0.000 0.000 0.500
Ba3 Ba 0.500 0.499 0.000
Ba4 Ba 0.500 0.499 0.500
Ta1 Ta 0.000 0.499 0.250
Ta2 Ta 0.500 0.000 0.750
Mo1 Mo 0.000 0.501 0.750
Mo2 Mo 0.500 0.998 0.250
P1 P 0.000 0.500 0.503
P2 P 0.247 0.251 0.750
P3 P 0.249 0.747 0.751
P4 P 0.250 0.753 0.250
P5 P 0.254 0.249 0.250
P6 P 0.500 0.999 0.003
P7 P 0.500 0.999 0.498
P8 P 0.746 0.749 0.250
P9 P 0.749 0.245 0.250
P10 P 0.752 0.253 0.750
P11 P 0.753 0.748 0.750
P12 P 0.999 0.500 0.998
```

Principal peaks in the range 2θ = 10–90°, in order of rising 2θ:
- 3.467 Å, I 34.0, hkl 0 2 0
- 3.441 Å, I 100.0, hkl 1 1 -2
- 3.431 Å, I 33.1, hkl 1 1 2
- 3.415 Å, I 32.7, hkl 2 0 0
- 2.432 Å, I 90.3, hkl 2 2 0
- 1.993 Å, I 22.1, hkl 1 3 2
- 1.979 Å, I 21.6, hkl 2 0 4
- 1.975 Å, I 21.5, hkl 3 1 2
- 1.722 Å, I 20.5, hkl 2 2 -4
- 1.716 Å, I 20.3, hkl 2 2 4



(8)
Diffraction record for Ge4IrPt3. The PXRD pattern is simulated, not measured: it uses a PBE-relaxed structure and Cu Kα X-rays.
Intensities are scaled so that the largest is 100.

Cell and atoms:
```
data_Ge4IrPt3
_cell_length_a 5.720
_cell_length_b 3.720
_cell_length_c 6.209
_cell_angle_alpha 90.00
_cell_angle_beta 90.27
_cell_angle_gamma 90.00
_symmetry_space_group_name_H-M 'P 1 m 1'
_symmetry_Int_Tables_number 6
loop_
_symmetry_equiv_pos_as_xyz
'x,y,z'
'x,-y,z'
loop_
_atom_site_label
_atom_site_type_symbol
_atom_site_fract_x
_atom_site_fract_y
_atom_site_fract_z
Ge1 Ge 0.000 0.000 0.000
Ge2 Ge 0.124 0.500 0.489
Ge3 Ge 0.484 0.000 0.318
Ge4 Ge 0.616 0.500 0.825
Ir1 Ir 0.306 0.500 0.102
Pt1 Pt 0.303 0.000 0.715
Pt2 Pt 0.801 0.000 0.602
Pt3 Pt 0.803 0.500 0.214
```

Principal peaks in the range 2θ = 10–90°, in order of rising 2θ:
- 3.191 Å, I 100.0, hkl 0 1 1
- 3.105 Å, I 28.8, hkl 0 0 2
- 2.860 Å, I 36.9, hkl 2 0 0
- 2.787 Å, I 26.0, hkl 1 1 -1
- 2.203 Å, I 42.3, hkl 1 1 -2
- 2.197 Å, I 41.4, hkl 1 1 2
- 2.133 Å, I 69.4, hkl 2 1 -1
- 2.127 Å, I 74.0, hkl 2 1 1
- 1.860 Å, I 39.6, hkl 0 2 0
- 1.809 Å, I 28.9, hkl 0 1 3